# KNa2WO4
Simulated X-ray powder pattern, λ = 1.5418 Å (Cu Kα). Input: DFT lattice parameters and positions (GGA+U).
Lines closer than 0.1° are merged.

Structural model:
```
data_KNa2WO4
_chemical_formula_sum 'K2 Na4 W2 O8'
_space_group_name_H-M_alt 'I -4 2 m'
_space_group_IT_number 121
_space_group_name_Hall 'I -4 2'
_cell_length_a 5.9677
_cell_length_b 5.9677
_cell_length_c 7.5302
_cell_angle_alpha 90.00
_cell_angle_beta 90.00
_cell_angle_gamma 90.00
loop_
_atom_site_label
_atom_site_type_symbol
_atom_site_fract_x
_atom_site_fract_y
_atom_site_fract_z
K1 K 0.0000 0.0000 0.0000
Na1 Na 0.0000 0.5000 0.2500
W1 W 0.0000 0.0000 0.5000
O1 O 0.1978 0.1978 0.6182
```

Principal peaks in the range 15° ≤ 2θ ≤ 90°, in order of falling intensity:
- 2θ = 18.97°, d = 4.677 Å, I = 100, hkl 1 0 1
- 2θ = 31.85°, d = 2.809 Å, I = 91, hkl 1 1 2
- 2θ = 21.05°, d = 4.220 Å, I = 53, hkl 1 1 0
- 2θ = 54.38°, d = 1.687 Å, I = 37, hkl 3 1 2
- 2θ = 29.95°, d = 2.984 Å, I = 32, hkl 2 0 0
- 2θ = 35.69°, d = 2.516 Å, I = 29, hkl 2 1 1
- 2θ = 42.86°, d = 2.110 Å, I = 25, hkl 2 2 0
- 2θ = 57.92°, d = 1.592 Å, I = 20, hkl 2 0 4
- 2θ = 23.63°, d = 3.765 Å, I = 20, hkl 0 0 2
- 2θ = 38.50°, d = 2.339 Å, I = 20, hkl 2 0 2